For Mg6SiO8, the GGA-PBE geometry in Alexandria gives the theoretical powder diffractogram in this record (Cu Kα X-rays).
Lines closer than 0.1° are merged.

Structure:
Unit cell a=8.4058 b=8.4058 c=8.4058 alpha=90.00 beta=90.00 gamma=90.00
Space group Fm-3m (No. 225)
Unique sites:
Mg 0.0000 0.2500 0.2500 (multiplicity 24)
Si 0.0000 0.0000 0.0000 (multiplicity 4)
O 0.0000 0.0000 0.2187 (multiplicity 24)
O 0.2500 0.2500 0.2500 (multiplicity 8)

Top 10 peaks for 10° ≤ 2θ ≤ 90°, most intense first:
- 43.0°, d 2.101, rel. 100
- 62.5°, d 1.486, rel. 53
- 18.3°, d 4.853, rel. 38
- 78.9°, d 1.213, rel. 15
- 74.9°, d 1.267, rel. 8
- 37.0°, d 2.427, rel. 8
- 56.9°, d 1.618, rel. 8
- 35.4°, d 2.534, rel. 4
- 65.7°, d 1.421, rel. 4
- 81.8°, d 1.177, rel. 4